(1)
Theoretical X-ray diffraction stick pattern
Compound: Ba4Si21Au2
Radiation: Cu Kα
Structure: a structure optimized by DFT (GGA-PBE)

Peak list (12 most intense, 10° ≤ 2θ ≤ 80°, sorted by position)
h k l, 2θ (°), I (rel.)
0 0 2, 11.94, 17
0 2 2, 16.91, 17
2 0 2, 20.78, 44
2 4 0, 29.55, 45
2 4 2, 31.97, 100
0 4 4, 34.19, 23
4 0 0, 34.36, 11
0 6 2, 38.38, 10
4 4 4, 49.25, 12
0 8 2, 50.79, 10
2 8 2, 53.91, 25
5 1 5, 54.08, 12

Structure:
a = 10.4402 Å, b = 14.8316 Å, c = 14.8391 Å
α = 90.00°, β = 90.00°, γ = 90.00°
Space group Ama2 (No. 40)
Asymmetric unit:
Ba (0.0000, 0.0000, 0.0000) (multiplicity 4)
Ba (0.2500, 0.1143, 0.6380) (multiplicity 4)
Ba (0.2500, 0.2499, 0.2620) (multiplicity 4)
Ba (0.2500, 0.3737, 0.8969) (multiplicity 4)
Si (0.0555, 0.1922, 0.8210) (multiplicity 8)
Si (0.0565, 0.3102, 0.7027) (multiplicity 8)
Si (0.0653, 0.2473, 0.0775) (multiplicity 8)
Si (0.0653, 0.4326, 0.2626) (multiplicity 8)
Si (0.0660, 0.0643, 0.2615) (multiplicity 8)
Si (0.0658, 0.2486, 0.4461) (multiplicity 8)
Si (0.1315, 0.3993, 0.1109) (multiplicity 8)
Si (0.1328, 0.0970, 0.4133) (multiplicity 8)
Si (0.2500, 0.0373, 0.1669) (multiplicity 4)
Si (0.2500, 0.1543, 0.0499) (multiplicity 4)
Si (0.2500, 0.3424, 0.4743) (multiplicity 4)
Si (0.2500, 0.3749, 0.6369) (multiplicity 4)
Si (0.2500, 0.4613, 0.3549) (multiplicity 4)
Au (0.0000, 0.0000, 0.5133) (multiplicity 4)
Au (0.2500, 0.1248, 0.8861) (multiplicity 4)

---

(2)
Theoretical X-ray diffraction stick pattern
Compound: In2FeS4
Radiation: Cu Kα
Structure: a structure optimized by DFT (GGA-PBE)

Peak list (12 most intense, 10° ≤ 2θ ≤ 80°, sorted by position)
h k l, 2θ (°), I (rel.)
1 1 1, 14.38, 35
2 2 0, 23.59, 11
3 1 1, 27.74, 100
2 2 2, 29.00, 11
4 0 0, 33.61, 57
5 1 1, 44.12, 38
4 4 0, 48.27, 74
5 3 3, 56.59, 13
4 4 4, 60.11, 13
5 5 3, 67.45, 22
8 0 0, 70.66, 11
5 5 5, 77.51, 12

Structure:
a = 10.6652 Å, b = 10.6652 Å, c = 10.6652 Å
α = 90.00°, β = 90.00°, γ = 90.00°
Space group Fd-3m (No. 227, origin choice 2)
Asymmetric unit:
In (0.0000, 0.0000, 0.0000) (multiplicity 16)
Fe (0.1250, 0.1250, 0.6250) (multiplicity 8)
S (0.0012, 0.0012, 0.2488) (multiplicity 32)